Record 1
Computed PXRD pattern of MgZn3 for Cu Kα (λ = 1.5418 Å), from a cell relaxed with GGA-PBE.

The 10 most intense peaks (2θ from 15° to 90°), low angle first:
| d/Å | 2θ (°) | I (rel.) |
| --- | --- | --- |
| 4.318 | 20.57 | 15.3 |
| 2.551 | 35.18 | 23.4 |
| 2.461 | 36.51 | 14.9 |
| 2.250 | 40.07 | 32.5 |
| 2.219 | 40.65 | 100.0 |
| 2.159 | 41.84 | 40.1 |
| 1.688 | 54.36 | 12.5 |
| 1.438 | 64.85 | 15.6 |
| 1.293 | 73.18 | 15.3 |
| 1.211 | 79.04 | 15.6 |

Atomic structure:
```
data_MgZn3
_chemical_formula_sum 'Mg1 Zn3'
_space_group_name_H-M_alt 'P 1'
_space_group_IT_number 1
_space_group_name_Hall 'P 1'
_cell_length_a 5.3422
_cell_length_b 5.3422
_cell_length_c 5.3422
_cell_angle_alpha 147.58
_cell_angle_beta 65.18
_cell_angle_gamma 125.14
loop_
_atom_site_label
_atom_site_type_symbol
_atom_site_fract_x
_atom_site_fract_y
_atom_site_fract_z
Mg1 Mg 0.0000 0.0000 0.0000
Zn1 Zn 0.1113 0.3545 0.7569
Zn2 Zn 0.5116 0.0116 0.5000
Zn3 Zn 0.5976 0.3545 0.2431
```

Record 2
Computed PXRD pattern of Cu2P2Pb5 for Cu Kα (λ = 1.5418 Å), from a cell relaxed with GGA-PBE.

The 10 most intense peaks (2θ from 15° to 90°), low angle first:
| d/Å | 2θ (°) | I (rel.) |
| --- | --- | --- |
| 3.446 | 25.85 | 100.0 |
| 2.873 | 31.13 | 48.2 |
| 2.791 | 32.07 | 36.7 |
| 2.692 | 33.28 | 26.0 |
| 2.657 | 33.73 | 41.9 |
| 2.608 | 34.39 | 56.3 |
| 2.573 | 34.86 | 69.2 |
| 2.363 | 38.08 | 31.5 |
| 1.741 | 52.58 | 25.1 |
| 1.621 | 56.81 | 32.7 |

Atomic structure:
```
data_Cu2P2Pb5
_chemical_formula_sum 'Cu4 P4 Pb10'
_space_group_name_H-M_alt 'P 1'
_space_group_IT_number 1
_space_group_name_Hall 'P 1'
_cell_length_a 7.2293
_cell_length_b 12.1004
_cell_length_c 5.1468
_cell_angle_alpha 90.00
_cell_angle_beta 90.00
_cell_angle_gamma 90.00
loop_
_atom_site_label
_atom_site_type_symbol
_atom_site_fract_x
_atom_site_fract_y
_atom_site_fract_z
Cu1 Cu 0.1318 0.0622 0.0000
Cu2 Cu 0.3682 0.5622 0.0000
Cu3 Cu 0.6318 0.4378 0.0000
Cu4 Cu 0.8682 0.9378 0.0000
P1 P 0.0955 0.3428 0.5000
P2 P 0.4045 0.8428 0.5000
P3 P 0.5955 0.1572 0.5000
P4 P 0.9045 0.6572 0.5000
Pb1 Pb 0.0000 0.5000 0.0000
Pb2 Pb 0.1820 0.8009 0.0000
Pb3 Pb 0.2031 0.1168 0.5000
Pb4 Pb 0.2969 0.6168 0.5000
Pb5 Pb 0.3180 0.3009 0.0000
Pb6 Pb 0.5000 0.0000 0.0000
Pb7 Pb 0.6820 0.6991 0.0000
Pb8 Pb 0.7031 0.3832 0.5000
Pb9 Pb 0.7969 0.8832 0.5000
Pb10 Pb 0.8180 0.1991 0.0000
```

Record 3
Computed PXRD pattern of YEr2Pd for Cu Kα (λ = 1.5418 Å), from a cell relaxed with GGA-PBE.

The 10 most intense peaks (2θ from 15° to 90°), low angle first:
| d/Å | 2θ (°) | I (rel.) |
| --- | --- | --- |
| 2.843 | 31.47 | 100.0 |
| 2.774 | 32.27 | 62.2 |
| 2.742 | 32.66 | 82.5 |
| 2.656 | 33.75 | 84.1 |
| 2.546 | 35.25 | 68.4 |
| 2.375 | 37.87 | 33.8 |
| 2.339 | 38.49 | 82.1 |
| 1.893 | 48.07 | 33.8 |
| 1.586 | 58.17 | 34.0 |
| 1.534 | 60.36 | 41.4 |

Atomic structure:
```
data_YEr2Pd
_chemical_formula_sum 'Y2 Er4 Pd2'
_space_group_name_H-M_alt 'P 1'
_space_group_IT_number 1
_space_group_name_Hall 'P 1'
_cell_length_a 6.4002
_cell_length_b 6.4002
_cell_length_c 9.2017
_cell_angle_alpha 90.00
_cell_angle_beta 90.00
_cell_angle_gamma 145.60
loop_
_atom_site_label
_atom_site_type_symbol
_atom_site_fract_x
_atom_site_fract_y
_atom_site_fract_z
Y1 Y 0.0594 0.9406 0.7500
Y2 Y 0.9406 0.0594 0.2500
Er1 Er 0.3641 0.6359 0.5597
Er2 Er 0.3641 0.6359 0.9403
Er3 Er 0.6359 0.3641 0.0597
Er4 Er 0.6359 0.3641 0.4403
Pd1 Pd 0.2377 0.7623 0.2500
Pd2 Pd 0.7623 0.2377 0.7500
```

Number 3 is which compound? YEr2Pd